# ZnNi
Calculated XRD peak list, Cu Ka. Input: a PBE-relaxed structure.
Peak positions follow from Bragg's law for the DFT cell and can differ from measured ones.

Atomic structure:
```
data_ZnNi
_cell_length_a 2.8891
_cell_length_b 2.8891
_cell_length_c 2.8891
_cell_angle_alpha 90.00
_cell_angle_beta 90.00
_cell_angle_gamma 90.00
_symmetry_space_group_name_H-M 'P m -3 m'
_symmetry_Int_Tables_number 221
_symmetry_space_group_name_Hall '-P 4 2 3'
loop_
_atom_site_label
_atom_site_fract_x
_atom_site_fract_y
_atom_site_fract_z
Zn1 0.0000 0.0000 0.0000
Ni1 0.5000 0.5000 0.5000
```

Main lines, in order of rising 2θ (5 to 70 degrees two-theta):
| two_theta | d [Å] | I (rel.) | hkl |
| --- | --- | --- | --- |
| 44.3 | 2.043 | 100 | 1 1 0 |
| 64.5 | 1.445 | 15 | 2 0 0 |


# Zn11Ni2
Calculated XRD peak list, Cu Ka. Input: a PBE-relaxed structure.
Peak positions follow from Bragg's law for the DFT cell and can differ from measured ones.

Atomic structure:
```
data_Zn11Ni2
_cell_length_a 8.9643
_cell_length_b 8.9643
_cell_length_c 8.9643
_cell_angle_alpha 90.00
_cell_angle_beta 90.00
_cell_angle_gamma 90.00
_symmetry_space_group_name_H-M 'I -4 3 m'
_symmetry_Int_Tables_number 217
_symmetry_space_group_name_Hall 'I -4 2 3'
loop_
_atom_site_label
_atom_site_fract_x
_atom_site_fract_y
_atom_site_fract_z
Zn1 0.0000 0.0000 0.3559
Zn2 0.0440 0.3073 0.6927
Zn3 0.1051 0.1051 0.8949
Ni1 0.1708 0.1708 0.1708
```

Main lines, in order of rising 2θ (5 to 70 degrees two-theta):
| two_theta | d [Å] | I (rel.) | hkl |
| --- | --- | --- | --- |
| 34.7 | 2.588 | 7 | 2 2 2 |
| 37.5 | 2.396 | 5 | 3 2 1 |
| 42.8 | 2.113 | 100 | 3 3 0 |
| 47.6 | 1.911 | 8 | 3 3 2 |
| 49.8 | 1.830 | 4 | 4 2 2 |
| 52.0 | 1.758 | 3 | 5 1 0 |
| 62.1 | 1.494 | 7 | 6 0 0 |
| 64.0 | 1.454 | 2 | 6 1 1 |


# ZrZn20Ni2
Calculated XRD peak list, Cu Ka. Input: a PBE-relaxed structure.
Peak positions follow from Bragg's law for the DFT cell and can differ from measured ones.

Atomic structure:
a b c (Å): 13.9488 13.9488 13.9488
angles (deg): 90.00 90.00 90.00
Space group Fd-3m (No. 227, origin choice 2)
Inequivalent atoms, fractional coordinates:
Zr  0.1250  0.1250  0.1250 x8
Zn  0.0000  0.0000  0.0000 x16
Zn  0.0127  0.3750  0.8750 x48
Zn  0.0600  0.0600  0.3231 x96
Ni  0.0000  0.0000  0.5000 x16

Main lines, in order of rising 2θ (5 to 70 degrees two-theta):
| two_theta | d [Å] | I (rel.) | hkl |
| --- | --- | --- | --- |
| 38.2 | 2.358 | 100 | 5 3 1 |
| 38.7 | 2.325 | 18 | 4 4 2 |
| 40.9 | 2.205 | 43 | 6 2 0 |
| 42.5 | 2.127 | 80 | 5 3 3 |
| 43.0 | 2.103 | 86 | 6 2 2 |
| 45.0 | 2.013 | 26 | 4 4 4 |
| 46.5 | 1.953 | 33 | 7 1 1 |
| 55.9 | 1.644 | 22 | 6 6 0 |


# Zr6Ni23
Calculated XRD peak list, Cu Ka. Input: a PBE-relaxed structure.
Peak positions follow from Bragg's law for the DFT cell and can differ from measured ones.

Atomic structure:
```
data_Zr6Ni23
_cell_length_a 11.4270
_cell_length_b 11.4270
_cell_length_c 11.4270
_cell_angle_alpha 90.00
_cell_angle_beta 90.00
_cell_angle_gamma 90.00
_symmetry_space_group_name_H-M 'F m -3 m'
_symmetry_Int_Tables_number 225
_symmetry_space_group_name_Hall '-F 4 2 3'
loop_
_atom_site_label
_atom_site_fract_x
_atom_site_fract_y
_atom_site_fract_z
Zr1 0.0000 0.0000 0.2129
Ni1 0.0000 0.0000 0.5000
Ni2 0.0000 0.2500 0.2500
Ni3 0.1200 0.1200 0.3800
Ni4 0.1714 0.1714 0.1714
```

Main lines, in order of rising 2θ (5 to 70 degrees two-theta):
| two_theta | d [Å] | I (rel.) | hkl |
| --- | --- | --- | --- |
| 38.6 | 2.333 | 18 | 4 2 2 |
| 41.0 | 2.199 | 56 | 3 3 3 |
| 44.9 | 2.020 | 100 | 4 4 0 |
| 47.0 | 1.932 | 17 | 5 3 1 |
| 47.8 | 1.905 | 9 | 6 0 0 |
| 50.5 | 1.807 | 9 | 6 2 0 |
| 52.5 | 1.743 | 7 | 5 3 3 |
| 69.8 | 1.347 | 11 | 6 6 0 |


# Zr4Ni
Calculated XRD peak list, Cu Ka. Input: a PBE-relaxed structure.
Peak positions follow from Bragg's law for the DFT cell and can differ from measured ones.

Atomic structure:
a b c (Å): 9.8095 9.8095 9.8095
angles (deg): 90.00 90.00 90.00
Space group Fd-3m (No. 227, origin choice 2)
Inequivalent atoms, fractional coordinates:
Zr  0.0149  0.0149  0.2351 x32
Ni  0.1250  0.1250  0.6250 x8

Main lines, in order of rising 2θ (5 to 70 degrees two-theta):
| two_theta | d [Å] | I (rel.) | hkl |
| --- | --- | --- | --- |
| 25.7 | 3.468 | 13 | 2 2 0 |
| 31.6 | 2.832 | 100 | 2 2 2 |
| 36.6 | 2.452 | 32 | 4 0 0 |
| 40.1 | 2.250 | 20 | 3 3 1 |
| 48.2 | 1.888 | 21 | 5 1 1 |
| 52.8 | 1.734 | 41 | 4 4 0 |
| 62.8 | 1.479 | 29 | 6 2 2 |
| 68.3 | 1.374 | 8 | 7 1 1 |


# Zr2Ni7
Calculated XRD peak list, Cu Ka. Input: a PBE-relaxed structure.
Peak positions follow from Bragg's law for the DFT cell and can differ from measured ones.

Atomic structure:
```
data_Zr2Ni7
_cell_length_a 4.6768
_cell_length_b 8.1968
_cell_length_c 12.1163
_cell_angle_alpha 90.00
_cell_angle_beta 95.65
_cell_angle_gamma 90.00
_symmetry_space_group_name_H-M 'C 1 2/m 1'
_symmetry_Int_Tables_number 12
loop_
_symmetry_equiv_pos_as_xyz
'x,y,z'
'-x,-y,-z'
'-x,y,-z'
'x,-y,z'
'x+1/2,y+1/2,z'
'-x+1/2,-y+1/2,-z'
'-x+1/2,y+1/2,-z'
'x+1/2,-y+1/2,z'
loop_
_atom_site_label
_atom_site_fract_x
_atom_site_fract_y
_atom_site_fract_z
Zr1 0.2092 0.0000 0.1147
Zr2 0.2328 0.5000 0.6136
Ni1 0.0174 0.2522 0.7498
Ni2 0.1947 0.3335 0.0780
Ni3 0.2170 0.1647 0.5781
Ni4 0.2390 0.5000 0.2496
```

Main lines, in order of rising 2θ (5 to 70 degrees two-theta):
| two_theta | d [Å] | I (rel.) | hkl |
| --- | --- | --- | --- |
| 38.6 | 2.335 | 47 | 1 3 -1 |
| 38.7 | 2.327 | 37 | 2 0 0 |
| 43.0 | 2.103 | 39 | 2 0 2 |
| 43.5 | 2.078 | 100 | 1 3 -3 |
| 44.8 | 2.024 | 30 | 2 2 0 |
| 45.1 | 2.010 | 60 | 0 0 6 |
| 45.6 | 1.990 | 96 | 1 3 3 |
| 46.9 | 1.938 | 63 | 2 0 -4 |


# ZrNi3
Calculated XRD peak list, Cu Ka. Input: a PBE-relaxed structure.
Peak positions follow from Bragg's law for the DFT cell and can differ from measured ones.

Atomic structure:
```
data_ZrNi3
_cell_length_a 5.3156
_cell_length_b 5.3156
_cell_length_c 4.3052
_cell_angle_alpha 90.00
_cell_angle_beta 90.00
_cell_angle_gamma 120.00
_symmetry_space_group_name_H-M 'P 63/m m c'
_symmetry_Int_Tables_number 194
_symmetry_space_group_name_Hall '-P 6c 2c'
loop_
_atom_site_label
_atom_site_fract_x
_atom_site_fract_y
_atom_site_fract_z
Zr1 0.3333 0.6667 0.2500
Ni1 0.1557 0.3114 0.7500
```

Main lines, in order of rising 2θ (5 to 70 degrees two-theta):
| two_theta | d [Å] | I (rel.) | hkl |
| --- | --- | --- | --- |
| 28.4 | 3.144 | 6 | 1 0 1 |
| 33.7 | 2.658 | 2 | 1 1 0 |
| 39.1 | 2.302 | 25 | 2 0 0 |
| 42.0 | 2.153 | 27 | 0 0 2 |
| 44.6 | 2.030 | 100 | 2 0 1 |
| 52.6 | 1.740 | 2 | 2 1 0 |
| 58.7 | 1.572 | 14 | 2 0 2 |
| 69.5 | 1.353 | 2 | 2 1 2 |


Copy entry 5 word for word.
# Zr4Ni
Calculated XRD peak list, Cu Ka. Input: a PBE-relaxed structure.
Peak positions follow from Bragg's law for the DFT cell and can differ from measured ones.

Atomic structure:
a b c (Å): 9.8095 9.8095 9.8095
angles (deg): 90.00 90.00 90.00
Space group Fd-3m (No. 227, origin choice 2)
Inequivalent atoms, fractional coordinates:
Zr  0.0149  0.0149  0.2351 x32
Ni  0.1250  0.1250  0.6250 x8

Main lines, in order of rising 2θ (5 to 70 degrees two-theta):
| two_theta | d [Å] | I (rel.) | hkl |
| --- | --- | --- | --- |
| 25.7 | 3.468 | 13 | 2 2 0 |
| 31.6 | 2.832 | 100 | 2 2 2 |
| 36.6 | 2.452 | 32 | 4 0 0 |
| 40.1 | 2.250 | 20 | 3 3 1 |
| 48.2 | 1.888 | 21 | 5 1 1 |
| 52.8 | 1.734 | 41 | 4 4 0 |
| 62.8 | 1.479 | 29 | 6 2 2 |
| 68.3 | 1.374 | 8 | 7 1 1 |